# 1
The following is a theoretical X-ray powder pattern of Mg3BO6. It was derived from a structure optimized by DFT (GGA-PBE), using λ = 1.5418 Å (Cu Kα).

Principal peaks in the range 2θ from 10° to 80°, sorted by position:
Position (°2θ), d [Å], I_rel
11.23, 7.879, 100.0
19.52, 4.549, 62.6
34.14, 2.626, 48.3
34.26, 2.618, 32.6
36.16, 2.484, 98.9
41.36, 2.183, 54.4
49.14, 1.854, 35.1
50.55, 1.805, 34.0
57.60, 1.600, 26.5
61.19, 1.515, 51.6

Cell: 9.098 9.098 3.201 Å, 90.00 90.00 120.00°
Element x y z (fractional)
Mg (0.033, 0.664, 0.250)
Mg (0.336, 0.369, 0.250)
Mg (0.369, 0.033, 0.750)
Mg (0.631, 0.967, 0.250)
Mg (0.664, 0.631, 0.750)
Mg (0.967, 0.336, 0.750)
B (0.333, 0.667, 0.750)
B (0.667, 0.333, 0.250)
O (0.094, 0.316, 0.250)
O (0.157, 0.597, 0.750)
O (0.222, 0.906, 0.250)
O (0.316, 0.222, 0.750)
O (0.403, 0.561, 0.750)
O (0.439, 0.843, 0.750)
O (0.561, 0.157, 0.250)
O (0.597, 0.439, 0.250)
O (0.684, 0.778, 0.250)
O (0.778, 0.094, 0.750)
O (0.843, 0.403, 0.250)
O (0.906, 0.684, 0.750)



# 2
The following is a theoretical X-ray powder pattern of MgBP2O8. It was derived from a structure optimized by DFT (GGA-PBE), using λ = 1.5418 Å (Cu Kα).

Principal peaks in the range 2θ from 10° to 80°, sorted by position:
Position (°2θ), d [Å], I_rel
20.21, 4.393, 25.7
33.30, 2.690, 100.0
39.27, 2.294, 9.2
41.09, 2.197, 62.4
53.89, 1.701, 3.6
59.52, 1.553, 31.6
63.53, 1.464, 2.2
69.94, 1.345, 40.6
73.65, 1.286, 2.9
79.70, 1.203, 12.7

Cell: 5.380 5.380 5.380 Å, 60.00 60.00 60.00°
Element x y z (fractional)
Mg (0.000, 0.000, 0.000)
B (0.750, 0.750, 0.750)
P (0.250, 0.250, 0.250)
P (0.500, 0.500, 0.500)
O (0.128, 0.624, 0.624)
O (0.137, 0.137, 0.137)
O (0.137, 0.137, 0.589)
O (0.137, 0.589, 0.137)
O (0.589, 0.137, 0.137)
O (0.624, 0.128, 0.624)
O (0.624, 0.624, 0.128)
O (0.624, 0.624, 0.624)



# 3
The following is a theoretical X-ray powder pattern of MgPaBO5. It was derived from a structure optimized by DFT (GGA-PBE), using λ = 1.5418 Å (Cu Kα).

Principal peaks in the range 2θ from 10° to 80°, sorted by position:
Position (°2θ), d [Å], I_rel
17.37, 5.106, 100.0
21.63, 4.108, 32.2
25.30, 3.520, 71.0
27.37, 3.259, 33.5
33.34, 2.688, 28.8
35.26, 2.545, 18.1
35.56, 2.525, 21.9
35.80, 2.508, 15.0
39.85, 2.262, 18.7
43.07, 2.100, 15.5

Cell: 5.464 5.464 7.858 Å, 106.33 106.33 97.50°
Element x y z (fractional)
Mg (0.144, 0.856, 0.750)
Mg (0.856, 0.144, 0.250)
Pa (0.500, 0.500, 0.000)
Pa (0.500, 0.500, 0.500)
B (0.164, 0.836, 0.250)
B (0.836, 0.164, 0.750)
O (0.117, 0.216, 0.875)
O (0.197, 0.661, 0.365)
O (0.216, 0.117, 0.375)
O (0.339, 0.803, 0.135)
O (0.379, 0.621, 0.750)
O (0.621, 0.379, 0.250)
O (0.661, 0.197, 0.865)
O (0.784, 0.883, 0.625)
O (0.803, 0.339, 0.635)
O (0.883, 0.784, 0.125)



# 4
The following is a theoretical X-ray powder pattern of Mg3PaB4O12. It was derived from a structure optimized by DFT (GGA-PBE), using λ = 1.5418 Å (Cu Kα).

Principal peaks in the range 2θ from 10° to 80°, sorted by position:
Position (°2θ), d [Å], I_rel
15.46, 5.732, 100.0
18.45, 4.810, 61.0
24.16, 3.684, 44.2
24.95, 3.569, 35.0
30.57, 2.925, 39.8
31.21, 2.866, 62.6
36.50, 2.462, 34.6
39.00, 2.310, 23.4
40.69, 2.218, 28.4
51.46, 1.776, 22.2

Cell: 6.146 6.146 6.146 Å, 102.98 102.98 102.98°
Element x y z (fractional)
Mg (0.000, 0.556, 0.444)
Mg (0.444, 0.000, 0.556)
Mg (0.556, 0.444, 0.000)
Pa (0.000, 0.000, 0.000)
B (0.048, 0.500, 0.952)
B (0.500, 0.500, 0.500)
B (0.500, 0.952, 0.048)
B (0.952, 0.048, 0.500)
O (0.038, 0.648, 0.808)
O (0.092, 0.908, 0.500)
O (0.192, 0.352, 0.962)
O (0.352, 0.962, 0.192)
O (0.359, 0.641, 0.500)
O (0.500, 0.092, 0.908)
O (0.500, 0.359, 0.641)
O (0.641, 0.500, 0.359)
O (0.648, 0.808, 0.038)
O (0.808, 0.038, 0.648)
O (0.908, 0.500, 0.092)
O (0.962, 0.192, 0.352)



# 5
The following is a theoretical X-ray powder pattern of PmMgBO4. It was derived from a structure optimized by DFT (GGA-PBE), using λ = 1.5418 Å (Cu Kα).

Principal peaks in the range 2θ from 10° to 80°, sorted by position:
Position (°2θ), d [Å], I_rel
18.41, 4.820, 100.0
21.63, 4.108, 34.4
30.02, 2.976, 18.2
34.04, 2.634, 69.4
36.10, 2.488, 30.6
41.79, 2.162, 38.6
44.09, 2.054, 16.7
46.55, 1.951, 31.3
47.53, 1.913, 16.9
62.37, 1.489, 29.1

Cell: 5.968 5.968 5.968 Å, 120.18 116.41 93.01°
Element x y z (fractional)
Pm (0.000, 0.000, 0.000)
Pm (0.500, 0.000, 0.500)
Mg (0.500, 0.000, 0.000)
Mg (0.500, 0.500, 0.500)
B (0.138, 0.388, 0.750)
B (0.862, 0.612, 0.250)
O (0.177, 0.723, 0.454)
O (0.231, 0.277, 0.954)
O (0.250, 0.289, 0.539)
O (0.250, 0.711, 0.961)
O (0.750, 0.289, 0.039)
O (0.750, 0.711, 0.461)
O (0.769, 0.723, 0.046)
O (0.823, 0.277, 0.546)